Entry 1:
The following is a theoretical powder diffraction line list of Mg2Si2Hg. It was derived from a crystal structure in Alexandria, relaxed with PBE, using Cu Kα X-rays.
Kinematic intensities with the Lorentz-polarization factor, no thermal factor.

Structural model:
```
10
Lattice="8.462 0.000 0.000 0.000 8.462 0.000 0.000 0.000 2.833" Properties=species:S:1:pos:R:3 pbc="T T T"
Mg 1.205 3.026 0.000
Mg 3.026 7.257 0.000
Mg 5.436 1.205 0.000
Mg 7.257 5.436 0.000
Si 1.299 5.530 1.417
Si 2.932 1.299 1.417
Si 5.530 7.163 1.417
Si 7.163 2.932 1.417
Hg 0.000 0.000 0.000
Hg 4.231 4.231 0.000
```

Largest 10 diffraction maxima, in order of rising 2θ, 2θ from 15° to 90°:
d_spacing	2θ/deg	intensity
4.231	21.00	638
2.992	29.86	433
2.676	33.49	1000
2.561	35.04	514
2.354	38.23	451
2.057	44.02	268
1.945	46.69	463
1.892	48.08	274
1.574	58.67	231
1.432	65.14	197

***

Entry 2:
The following is a theoretical powder diffraction line list of AcGeHPd6. It was derived from a crystal structure in Alexandria, relaxed with PBE, using Cu Kα X-rays.
Kinematic intensities with the Lorentz-polarization factor, no thermal factor.

Structural model:
```
18
Lattice="-3.716 3.897 5.560 3.716 -3.897 5.560 3.716 3.897 -5.560" Properties=species:S:1:pos:R:3 pbc="T T T"
Ac 0.000 1.948 1.941
Ac 3.716 1.948 3.619
Ge 1.858 1.948 -2.780
Ge 1.858 -1.948 2.780
H 3.716 0.000 0.000
H 0.000 0.000 5.560
Pd 2.229 -0.031 1.379
Pd 5.202 -0.031 1.379
Pd 3.716 -1.948 4.387
Pd 3.716 1.948 0.162
Pd 2.229 3.866 -1.379
Pd 1.486 -0.031 4.181
Pd 2.229 3.928 1.379
Pd 1.486 0.031 6.938
Pd 0.000 1.948 5.398
Pd 0.000 5.845 1.173
Pd -1.486 3.928 4.181
Pd 1.486 3.928 4.181
```

Largest 10 diffraction maxima, in order of rising 2θ, 2θ from 15° to 90°:
d_spacing	2θ/deg	intensity
3.317	26.88	259
3.211	27.78	306
2.689	33.32	1000
2.526	35.54	709
2.469	36.38	278
2.263	39.83	235
2.060	43.96	342
1.948	46.62	344
1.933	47.01	362
1.301	72.70	224

***

Entry 3:
The following is a theoretical powder diffraction line list of Cu2Br2Cl. It was derived from a crystal structure in Alexandria, relaxed with PBE, using Cu Kα X-rays.
Kinematic intensities with the Lorentz-polarization factor, no thermal factor.

Structural model:
```
10
Lattice="-3.532 3.532 5.886 3.532 -3.532 5.886 3.532 3.532 -5.886" Properties=species:S:1:pos:R:3 pbc="T T T"
Cu 0.000 1.640 0.000
Cu -1.640 3.532 2.943
Cu 1.640 3.532 2.943
Cu 0.000 5.424 0.000
Br 0.000 1.748 2.430
Br -1.748 3.532 5.373
Br 1.748 3.532 5.373
Br 0.000 5.317 2.430
Cl 3.532 0.000 4.706
Cl 0.000 0.000 7.649
```

Largest 10 diffraction maxima, in order of rising 2θ, 2θ from 15° to 90°:
d_spacing	2θ/deg	intensity
3.430	25.97	316
3.051	29.27	1000
2.943	30.37	415
2.498	35.96	589
2.234	40.38	251
1.933	47.02	351
1.904	47.76	532
1.888	48.20	390
1.766	51.76	310
1.715	53.42	254

***

Entry 4:
The following is a theoretical powder diffraction line list of Hg4SbHO6. It was derived from a crystal structure in Alexandria, relaxed with PBE, using Cu Kα X-rays.
Kinematic intensities with the Lorentz-polarization factor, no thermal factor.

Structural model:
```
12
Lattice="4.977 0.000 0.000 -0.262 4.992 0.000 -2.366 -2.315 8.024" Properties=species:S:1:pos:R:3 pbc="T T T"
Hg 0.000 0.000 0.000
Hg -0.302 0.104 3.237
Hg 0.572 0.008 6.461
Hg 2.075 2.574 5.203
Sb 2.156 2.523 1.746
H 0.419 -0.684 4.940
O 1.310 1.650 0.025
O 0.798 3.924 1.693
O 1.243 1.575 3.332
O 3.089 3.595 0.115
O 3.631 1.240 1.624
O 3.054 3.477 3.366
```

Largest 10 diffraction maxima, in order of rising 2θ, 2θ from 15° to 90°:
d_spacing	2θ/deg	intensity
4.746	18.69	212
3.617	24.61	1000
3.433	25.96	860
2.728	32.83	483
2.696	33.23	776
2.672	33.53	491
2.495	35.99	359
2.485	36.15	164
1.822	50.06	254
1.810	50.41	204

***

Entry 5:
The following is a theoretical powder diffraction line list of Tb4HoErSc2. It was derived from a crystal structure in Alexandria, relaxed with PBE, using Cu Kα X-rays.
Kinematic intensities with the Lorentz-polarization factor, no thermal factor.

Structural model:
```
16
Lattice="6.028 -3.480 0.000 6.028 3.480 0.000 -4.020 0.000 11.277" Properties=species:S:1:pos:R:3 pbc="T T T"
Tb -0.002 0.000 8.356
Tb 3.004 1.748 8.427
Tb 1.998 0.000 2.852
Tb 5.031 1.748 2.851
Tb 3.004 -1.748 8.427
Tb 6.037 0.000 8.425
Tb 5.031 -1.748 2.851
Tb 8.037 0.000 2.921
Ho 3.014 1.740 0.000
Ho 3.014 -1.740 0.000
Er 6.028 0.000 0.000
Er 4.017 0.000 5.639
Sc 0.000 0.000 0.000
Sc -2.010 0.000 5.639
Sc 1.004 1.740 5.639
Sc 1.004 -1.740 5.639
```

Largest 10 diffraction maxima, in order of rising 2θ, 2θ from 15° to 90°:
d_spacing	2θ/deg	intensity
2.839	31.51	1000
2.819	31.74	324
2.454	36.61	666
1.740	52.60	236
1.731	52.89	228
1.484	62.62	139
1.481	62.75	273
1.475	63.02	132
1.419	65.79	119
1.100	89.00	109

***

Entry 6:
The following is a theoretical powder diffraction line list of ZrCu. It was derived from a crystal structure in Alexandria, relaxed with PBE, using Cu Kα X-rays.
Kinematic intensities with the Lorentz-polarization factor, no thermal factor.

Structural model:
```
8
Lattice="3.217 0.000 0.000 0.000 4.337 0.000 -1.222 0.000 10.125" Properties=species:S:1:pos:R:3 pbc="T T T"
Zr -0.059 1.084 1.093
Zr 0.043 3.253 4.025
Zr 1.952 1.084 6.100
Zr 2.054 3.253 9.033
Cu 0.405 3.253 6.832
Cu 0.427 1.084 8.465
Cu 1.568 3.253 1.660
Cu 1.590 1.084 3.294
```

Largest 10 diffraction maxima, in order of rising 2θ, 2θ from 15° to 90°:
d_spacing	2θ/deg	intensity
2.569	34.93	396
2.531	35.46	525
2.437	36.88	404
2.388	37.67	1000
2.209	40.86	762
2.186	41.30	610
2.169	41.65	699
2.148	42.06	291
1.647	55.82	271
1.291	73.33	324

***

Entry 7:
The following is a theoretical powder diffraction line list of InTcPtPb2. It was derived from a crystal structure in Alexandria, relaxed with PBE, using Cu Kα X-rays.
Kinematic intensities with the Lorentz-polarization factor, no thermal factor.

Structural model:
```
5
Lattice="5.312 0.000 0.000 0.000 5.312 0.000 0.000 0.000 4.972" Properties=species:S:1:pos:R:3 pbc="T T T"
In 0.000 0.000 0.000
Tc 2.656 2.656 2.486
Pt 2.656 2.656 0.000
Pb 0.000 2.656 2.486
Pb 2.656 0.000 2.486
```

Largest 10 diffraction maxima, in order of rising 2θ, 2θ from 15° to 90°:
d_spacing	2θ/deg	intensity
5.312	16.69	164
2.997	29.81	1000
2.656	33.75	641
2.486	36.13	267
1.878	48.47	234
1.815	50.27	420
1.591	57.95	318
1.516	61.11	136
1.499	61.92	226
1.180	81.60	124

***

Entry 8:
The following is a theoretical powder diffraction line list of Li8Cd3Au2. It was derived from a crystal structure in Alexandria, relaxed with PBE, using Cu Kα X-rays.
Kinematic intensities with the Lorentz-polarization factor, no thermal factor.

Structural model:
```
13
Lattice="3.580 -7.412 0.000 3.580 7.412 0.000 0.000 0.000 4.628" Properties=species:S:1:pos:R:3 pbc="T T T"
Li 3.580 5.557 0.000
Li 2.146 1.847 2.314
Li 3.580 2.758 0.000
Li 2.146 -1.847 2.314
Li 5.013 1.847 2.314
Li 3.580 -2.758 0.000
Li 5.013 -1.847 2.314
Li 3.580 -5.557 0.000
Cd 0.000 0.000 2.314
Cd 2.151 0.000 0.000
Cd 5.008 0.000 0.000
Au 3.580 4.101 2.314
Au 3.580 -4.101 2.314
```

Largest 10 diffraction maxima, in order of rising 2θ, 2θ from 15° to 90°:
d_spacing	2θ/deg	intensity
4.628	19.18	243
3.926	22.65	1000
3.760	23.66	474
3.706	24.01	735
3.223	27.67	541
2.832	31.60	825
2.357	38.18	743
2.314	38.92	331
2.250	40.07	811
1.963	46.25	256

***

Entry 9:
The following is a theoretical powder diffraction line list of Ho12Tl3Cd. It was derived from a crystal structure in Alexandria, relaxed with PBE, using Cu Kα X-rays.
Kinematic intensities with the Lorentz-polarization factor, no thermal factor.

Structural model:
```
16
Lattice="4.829 0.000 0.000 0.000 4.829 0.000 0.000 0.000 19.314" Properties=species:S:1:pos:R:3 pbc="T T T"
Ho 0.000 0.000 0.000
Ho 0.000 0.000 4.817
Ho 0.000 0.000 9.657
Ho 0.000 0.000 14.498
Ho 0.000 2.415 2.396
Ho 0.000 2.415 7.243
Ho 0.000 2.415 12.072
Ho 0.000 2.415 16.918
Ho 2.415 0.000 2.396
Ho 2.415 0.000 7.243
Ho 2.415 0.000 12.072
Ho 2.415 0.000 16.918
Tl 2.415 2.415 4.818
Tl 2.415 2.415 9.657
Tl 2.415 2.415 14.496
Cd 2.415 2.415 0.000
```

Largest 7 diffraction maxima, in order of rising 2θ, 2θ from 15° to 90°:
d_spacing	2θ/deg	intensity
2.788	32.10	1000
2.415	37.24	504
1.707	53.68	354
1.456	63.94	419
1.394	67.15	121
1.207	79.37	57
1.108	88.19	181

***

Entry 10:
The following is a theoretical powder diffraction line list of Ba6HgAs2I3. It was derived from a crystal structure in Alexandria, relaxed with PBE, using Cu Kα X-rays.
Kinematic intensities with the Lorentz-polarization factor, no thermal factor.

Structural model:
```
12
Lattice="4.270 -7.398 0.000 4.270 7.398 0.000 -2.849 0.000 8.403" Properties=species:S:1:pos:R:3 pbc="T T T"
Ba -0.064 2.575 6.651
Ba 1.298 0.000 1.749
Ba -0.064 -2.575 6.651
Ba 5.756 2.575 1.752
Ba 4.394 0.000 6.653
Ba 5.756 -2.575 1.752
Hg 4.270 0.000 0.000
As 4.270 4.931 0.000
As 4.270 -4.931 0.000
I -1.425 0.000 4.201
I 2.846 2.444 4.201
I 2.846 -2.444 4.201
```

Largest 10 diffraction maxima, in order of rising 2θ, 2θ from 15° to 90°:
d_spacing	2θ/deg	intensity
3.536	25.19	1000
2.536	35.40	335
2.466	36.44	393
2.022	44.81	205
1.767	51.73	143
1.599	57.65	114
1.564	59.08	189
1.437	64.91	125
1.424	65.58	66
1.164	82.94	66